Diffraction record for Fe2NiP. The powder diffraction line list is theoretical, not measured: it uses DFT lattice parameters and positions (GGA-PBE) and Cu Kα.
No peak broadening, texture or thermal motion is included.

Main lines, by angle (2θ from 10° to 90°):
2θ = 36.43°, 2.466 Å, I = 19.6; 2θ = 41.81°, 2.160 Å, I = 100.0; 2θ = 42.82°, 2.112 Å, I = 29.6; 2θ = 43.81°, 2.066 Å, I = 53.2; 2θ = 45.26°, 2.004 Å, I = 36.5; 2θ = 46.68°, 1.946 Å, I = 96.7; 2θ = 50.74°, 1.799 Å, I = 24.0; 2θ = 52.04°, 1.757 Å, I = 21.7; 2θ = 52.90°, 1.731 Å, I = 28.7; 2θ = 75.65°, 1.257 Å, I = 26.6

Structure:
Unit cell a=6.7022 b=6.7022 c=6.7022 alpha=96.11 beta=96.11 gamma=141.93
Positions (direct):
Fe: 0.0575 0.3727 0.4714
Fe: 0.0948 0.2036 0.8314
Fe: 0.3722 0.2634 0.1686
Fe: 0.4139 0.9425 0.3152
Fe: 0.6273 0.0987 0.6848
Fe: 0.7366 0.9052 0.1087
Fe: 0.7964 0.6278 0.8913
Fe: 0.9013 0.5861 0.5286
Ni: 0.2205 0.6757 0.8930
Ni: 0.3243 0.2174 0.5448
Ni: 0.6725 0.7795 0.4552
Ni: 0.7826 0.3275 0.1070
P: 0.2201 0.4722 0.1642
P: 0.3080 0.0560 0.8358
P: 0.5278 0.6919 0.7479
P: 0.9440 0.7799 0.2521

=====

Diffraction record for FeNi3Se2S2. The powder diffraction line list is theoretical, not measured: it uses DFT lattice parameters and positions (GGA-PBE) and Cu Kα.
No peak broadening, texture or thermal motion is included.

Main lines, by angle (2θ from 10° to 90°):
2θ = 16.86°, 5.259 Å, I = 100.0; 2θ = 29.27°, 3.052 Å, I = 73.1; 2θ = 29.57°, 3.021 Å, I = 61.3; 2θ = 38.27°, 2.352 Å, I = 40.2; 2θ = 48.61°, 1.873 Å, I = 25.7; 2θ = 48.99°, 1.859 Å, I = 99.8; 2θ = 49.40°, 1.845 Å, I = 24.6; 2θ = 57.93°, 1.592 Å, I = 16.3; 2θ = 58.46°, 1.579 Å, I = 18.6; 2θ = 71.80°, 1.315 Å, I = 22.1

Structure:
Unit cell a=5.2581 b=5.2581 c=5.2613 alpha=90.00 beta=90.00 gamma=90.87
Positions (direct):
Fe: 0.0000 0.0000 0.0000
Ni: 0.0000 0.0000 0.4892
Ni: 0.0000 0.5000 0.0153
Ni: 0.5000 0.0000 0.0153
Se: 0.2565 0.2565 0.7483
Se: 0.7435 0.7435 0.7483
S: 0.2356 0.7644 0.2399
S: 0.7644 0.2356 0.2399

=====

Copy entry 2 word for word.
Diffraction record for FeNi3Se2S2. The powder diffraction line list is theoretical, not measured: it uses DFT lattice parameters and positions (GGA-PBE) and Cu Kα.
No peak broadening, texture or thermal motion is included.

Main lines, by angle (2θ from 10° to 90°):
2θ = 16.86°, 5.259 Å, I = 100.0; 2θ = 29.27°, 3.052 Å, I = 73.1; 2θ = 29.57°, 3.021 Å, I = 61.3; 2θ = 38.27°, 2.352 Å, I = 40.2; 2θ = 48.61°, 1.873 Å, I = 25.7; 2θ = 48.99°, 1.859 Å, I = 99.8; 2θ = 49.40°, 1.845 Å, I = 24.6; 2θ = 57.93°, 1.592 Å, I = 16.3; 2θ = 58.46°, 1.579 Å, I = 18.6; 2θ = 71.80°, 1.315 Å, I = 22.1

Structure:
Unit cell a=5.2581 b=5.2581 c=5.2613 alpha=90.00 beta=90.00 gamma=90.87
Positions (direct):
Fe: 0.0000 0.0000 0.0000
Ni: 0.0000 0.0000 0.4892
Ni: 0.0000 0.5000 0.0153
Ni: 0.5000 0.0000 0.0153
Se: 0.2565 0.2565 0.7483
Se: 0.7435 0.7435 0.7483
S: 0.2356 0.7644 0.2399
S: 0.7644 0.2356 0.2399